The following is a simulated X-ray diffraction stick pattern of LaBe5Cu7. It was derived from a PBE-relaxed structure, using Cu Kα, 1.54184 Å.

```
data_LaBe5Cu7
_chemical_formula_sum 'La2 Be10 Cu14'
_cell_length_a 4.544
_cell_length_b 8.371
_cell_length_c 8.339
_cell_angle_alpha 90.00
_cell_angle_beta 90.00
_cell_angle_gamma 90.00
_symmetry_space_group_name_H-M 'I m m 2'
_symmetry_Int_Tables_number 44
loop_
_symmetry_equiv_pos_as_xyz
'x,y,z'
'-x,-y,z'
'-x,y,z'
'x,-y,z'
'x+1/2,y+1/2,z+1/2'
'-x+1/2,-y+1/2,z+1/2'
'-x+1/2,y+1/2,z+1/2'
'x+1/2,-y+1/2,z+1/2'
loop_
_atom_site_label
_atom_site_type_symbol
_atom_site_fract_x
_atom_site_fract_y
_atom_site_fract_z
La1 La 0.000 0.000 0.000
Be1 Be 0.000 0.500 0.247
Be2 Be 0.249 0.245 0.744
Cu1 Cu 0.000 0.000 0.353
Cu2 Cu 0.000 0.000 0.650
Cu3 Cu 0.000 0.273 0.491
Cu4 Cu 0.000 0.354 0.000
Cu5 Cu 0.000 0.500 0.730
```

The 8 most intense peaks (2θ from 5° to 70°), in order of rising 2θ:
d (Å)  2theta  Rel. int.  (hkl)
4.173  21.29  59  0 0 2
2.887  30.97  28  1 2 1
2.378  37.84  41  1 3 0
2.371  37.95  26  1 0 3
2.272  39.67  44  2 0 0
2.064  43.86  100  1 2 3
1.996  45.45  24  2 0 2
1.969  46.09  15  0 3 3